[1]
Pr6SmY2Sc: calculated powder diffraction line list (copper Kα), based on a structure optimized by DFT (PBE).
Lines closer than 0.1° are merged.

The 10 most intense peaks (2θ = 10–90°), by angle:
- 2θ 20.79, rel. 21
- 2θ 27.97, rel. 37
- 2θ 30.36, rel. 95
- 2θ 30.49, rel. 100
- 2θ 32.10, rel. 25
- 2θ 32.33, rel. 53
- 2θ 33.28, rel. 25
- 2θ 53.60, rel. 25
- 2θ 54.06, rel. 24
- 2θ 57.81, rel. 25

Crystal structure
abc: 6.8093 6.8093 9.0912
angles: 107.06 107.06 61.21
Fractional positions:
Pr 0.0598 0.5831 0.2092
Pr 0.0871 0.0871 0.1924
Pr 0.4169 0.9402 0.7908
Pr 0.5831 0.0598 0.2092
Pr 0.9129 0.9129 0.8076
Pr 0.9402 0.4169 0.7908
Sm 0.5000 0.5000 0.0000
Y 0.3713 0.3713 0.5794
Y 0.6287 0.6287 0.4206
Sc 0.0000 0.0000 0.5000

[2]
La3N: calculated powder diffraction line list (copper Kα), based on a structure optimized by DFT (PBE).
Lines closer than 0.1° are merged.

The 10 most intense peaks (2θ = 10–90°), by angle:
- 2θ 15.29, rel. 8
- 2θ 26.64, rel. 20
- 2θ 29.40, rel. 24
- 2θ 30.50, rel. 100
- 2θ 40.08, rel. 18
- 2θ 47.03, rel. 19
- 2θ 52.83, rel. 21
- 2θ 56.44, rel. 19
- 2θ 57.09, rel. 13
- 2θ 77.01, rel. 9

Crystal structure
abc: 6.6930 6.6930 6.0765
angles: 90.00 90.00 120.00
Fractional positions:
La 0.0000 0.3046 0.2500
La 0.0000 0.6954 0.7500
La 0.3046 0.0000 0.2500
La 0.3046 0.3046 0.7500
La 0.6954 0.0000 0.7500
La 0.6954 0.6954 0.2500
N 0.0000 0.0000 0.0000
N 0.0000 0.0000 0.5000

> What is the formula in the second record?

La3N

> Number 1 is which compound?

Pr6SmY2Sc

> Which formula does entry 2 have?

La3N